This entry pairs a crystal structure of Tm3Ga4Hg with its simulated powder XRD pattern. Radiation: CuKα. Structure: a crystal structure in Alexandria, relaxed with PBE.
Kinematic intensities with the Lorentz-polarization factor, no thermal factor.

abc: 3.4827 6.3043 16.7586
angles: 90.00 90.00 90.00
Element x y z (fractional)
Tm 0.0000 0.0000 0.0000
Tm 0.0000 0.5000 0.2150
Tm 0.0000 0.5000 0.7850
Tm 0.5000 0.0000 0.2850
Tm 0.5000 0.0000 0.7150
Tm 0.5000 0.5000 0.5000
Ga 0.0000 0.2915 0.3750
Ga 0.0000 0.2915 0.6250
Ga 0.0000 0.7085 0.3750
Ga 0.0000 0.7085 0.6250
Ga 0.5000 0.2085 0.1250
Ga 0.5000 0.2085 0.8750
Ga 0.5000 0.7915 0.1250
Ga 0.5000 0.7915 0.8750
Hg 0.0000 0.0000 0.5000
Hg 0.5000 0.5000 0.0000

Principal peaks in the range 2θ from 15° to 90°, most intense first:
two_theta, I_rel, hkl
31.22, 100, 1 1 2
35.64, 55, 0 2 4
51.98, 24, 1 3 2
65.12, 19, 2 2 4
30.20, 19, 0 1 5
43.97, 18, 1 1 6
41.90, 18, 1 2 3
21.22, 16, 0 0 4
37.23, 16, 1 0 5
28.31, 14, 0 2 0